NdErTh2Rh4: simulated XRD peak list (Cu Kα (λ = 1.5418 Å)), based on a crystal structure in Alexandria, relaxed with PBE.
Kinematic intensities with the Lorentz-polarization factor, no thermal factor.

a = 6.997 Å, b = 5.758 Å, c = 6.855 Å
α = 66.73°, β = 49.11°, γ = 64.16°
Fractional coordinates of all 8 atoms:
Nd 0.000 0.000 0.000
Er 0.425 0.425 0.575
Th 0.277 0.277 0.223
Th 0.777 0.777 0.723
Rh 0.304 0.762 0.238
Rh 0.514 0.914 0.486
Rh 0.762 0.304 0.696
Rh 0.914 0.514 0.086

The 12 most intense peaks (2θ = 10–80°), low angle first:
2θ/deg, Rel. int.
26.56, 115
27.64, 187
31.12, 1000
31.94, 605
35.07, 422
45.20, 680
45.97, 179
46.26, 211
57.07, 178
67.27, 116
73.95, 150
75.50, 129

=====

Nd5Er2Ru4: simulated XRD peak list (Cu Kα (λ = 1.5418 Å)), based on a crystal structure in Alexandria, relaxed with PBE.
Kinematic intensities with the Lorentz-polarization factor, no thermal factor.

a = 11.822 Å, b = 11.822 Å, c = 7.030 Å
α = 107.08°, β = 107.08°, γ = 18.95°
Fractional coordinates of all 11 atoms:
Nd 0.000 0.000 0.000
Nd 0.372 0.372 0.608
Nd 0.379 0.379 0.133
Nd 0.621 0.621 0.867
Nd 0.628 0.628 0.392
Er 0.236 0.236 0.761
Er 0.764 0.764 0.239
Ru 0.062 0.062 0.563
Ru 0.496 0.496 0.677
Ru 0.504 0.504 0.323
Ru 0.938 0.938 0.437

The 12 most intense peaks (2θ = 10–80°), low angle first:
2θ/deg, Rel. int.
13.21, 227
27.39, 362
30.02, 372
30.12, 306
32.16, 338
34.63, 1000
35.79, 479
36.49, 373
46.68, 328
48.87, 161
56.49, 149
58.94, 155

=====

NdEr5Ru4: simulated XRD peak list (Cu Kα (λ = 1.5418 Å)), based on a crystal structure in Alexandria, relaxed with PBE.
Kinematic intensities with the Lorentz-polarization factor, no thermal factor.

a = 3.387 Å, b = 3.387 Å, c = 19.148 Å
α = 90.00°, β = 90.00°, γ = 90.00°
Fractional coordinates of all 10 atoms:
Nd 0.000 0.000 0.000
Er 0.500 0.500 0.151
Er 0.500 0.500 0.325
Er 0.500 0.500 0.500
Er 0.500 0.500 0.675
Er 0.500 0.500 0.849
Ru 0.000 0.000 0.232
Ru 0.000 0.000 0.412
Ru 0.000 0.000 0.588
Ru 0.000 0.000 0.768

The 12 most intense peaks (2θ = 10–80°), low angle first:
2θ/deg, Rel. int.
27.95, 224
29.87, 118
32.38, 255
35.38, 848
37.56, 1000
38.77, 907
47.47, 156
54.16, 358
66.38, 420
68.58, 336
70.98, 141
78.86, 93

=====

Nd2ErU2Ru5: simulated XRD peak list (Cu Kα (λ = 1.5418 Å)), based on a crystal structure in Alexandria, relaxed with PBE.
Kinematic intensities with the Lorentz-polarization factor, no thermal factor.

a = 10.843 Å, b = 10.843 Å, c = 3.534 Å
α = 90.00°, β = 90.00°, γ = 90.00°
Fractional coordinates of all 20 atoms:
Nd 0.175 0.325 0.000
Nd 0.325 0.825 0.000
Nd 0.675 0.175 0.000
Nd 0.825 0.675 0.000
Er 0.000 0.000 0.000
Er 0.500 0.500 0.000
U 0.137 0.637 0.000
U 0.363 0.137 0.000
U 0.637 0.863 0.000
U 0.863 0.363 0.000
Ru 0.000 0.500 0.500
Ru 0.050 0.785 0.500
Ru 0.215 0.050 0.500
Ru 0.285 0.550 0.500
Ru 0.450 0.285 0.500
Ru 0.500 0.000 0.500
Ru 0.550 0.715 0.500
Ru 0.715 0.450 0.500
Ru 0.785 0.950 0.500
Ru 0.950 0.215 0.500

The 12 most intense peaks (2θ = 10–80°), low angle first:
2θ/deg, Rel. int.
18.30, 241
25.99, 258
34.09, 163
34.52, 235
35.11, 242
36.51, 1000
37.08, 162
39.34, 291
42.01, 264
47.43, 136
51.73, 170
71.43, 140

=====

NdErZnRu: simulated XRD peak list (Cu Kα (λ = 1.5418 Å)), based on a crystal structure in Alexandria, relaxed with PBE.
Kinematic intensities with the Lorentz-polarization factor, no thermal factor.

a = 4.302 Å, b = 4.003 Å, c = 10.683 Å
α = 90.00°, β = 90.00°, γ = 90.00°
Fractional coordinates of all 8 atoms:
Nd 0.000 0.000 0.000
Nd 0.000 0.500 0.500
Er 0.500 0.000 0.284
Er 0.500 0.500 0.784
Zn 0.500 0.000 0.581
Zn 0.500 0.500 0.081
Ru 0.000 0.000 0.724
Ru 0.000 0.500 0.224

The 12 most intense peaks (2θ = 10–80°), low angle first:
2θ/deg, Rel. int.
26.61, 202
31.66, 1000
33.55, 226
33.69, 393
39.72, 222
39.84, 505
42.00, 262
45.31, 211
54.86, 307
61.81, 118
63.49, 152
65.45, 132

=====

Nd3Er2S8: simulated XRD peak list (Cu Kα (λ = 1.5418 Å)), based on a crystal structure in Alexandria, relaxed with PBE.
Kinematic intensities with the Lorentz-polarization factor, no thermal factor.

a = 8.039 Å, b = 8.039 Å, c = 6.860 Å
α = 107.95°, β = 107.95°, γ = 60.39°
Fractional coordinates of all 13 atoms:
Nd 0.000 0.000 0.000
Nd 0.264 0.736 0.500
Nd 0.736 0.264 0.500
Er 0.262 0.262 0.845
Er 0.738 0.738 0.155
S 0.104 0.636 0.081
S 0.122 0.122 0.440
S 0.364 0.896 0.919
S 0.384 0.384 0.618
S 0.616 0.616 0.382
S 0.636 0.104 0.081
S 0.878 0.878 0.560
S 0.896 0.364 0.919

The 12 most intense peaks (2θ = 10–80°), low angle first:
2θ/deg, Rel. int.
15.58, 425
20.67, 1000
23.08, 804
26.00, 982
27.06, 465
33.00, 335
34.28, 781
35.39, 376
41.18, 337
41.86, 651
44.84, 322
45.59, 618

=====

Nd3ErS4: simulated XRD peak list (Cu Kα (λ = 1.5418 Å)), based on a crystal structure in Alexandria, relaxed with PBE.
Kinematic intensities with the Lorentz-polarization factor, no thermal factor.

a = 5.691 Å, b = 5.691 Å, c = 5.691 Å
α = 90.00°, β = 90.00°, γ = 90.00°
Fractional coordinates of all 8 atoms:
Nd 0.000 0.000 0.500
Nd 0.000 0.500 0.000
Nd 0.500 0.000 0.000
Er 0.500 0.500 0.500
S 0.000 0.000 0.000
S 0.000 0.500 0.500
S 0.500 0.000 0.500
S 0.500 0.500 0.000

The 8 most intense peaks (2θ = 10–80°), low angle first:
2θ/deg, Rel. int.
27.14, 768
31.44, 1000
45.05, 724
53.39, 380
55.97, 252
65.61, 116
72.37, 154
74.57, 321